1.
Starting from the PBE geometry in Alexandria, the powder diffraction line list of Y3FePd12 was computed for CuKα.
Peak positions follow from Bragg's law for the DFT cell and can differ from measured ones.

Crystal structure
a = 4.090 Å, b = 4.090 Å, c = 16.189 Å
α = 90.00°, β = 90.00°, γ = 90.00°
Space group P4/mmm (No. 123)
Symmetry-distinct sites (fractional):
Y 0.000 0.000 0.000 [1 per cell]
Y 0.000 0.000 0.258 [2 per cell]
Fe 0.000 0.000 0.500 [1 per cell]
Pd 0.000 0.500 0.129 [4 per cell]
Pd 0.000 0.500 0.388 [4 per cell]
Pd 0.500 0.500 0.000 [1 per cell]
Pd 0.500 0.500 0.258 [2 per cell]
Pd 0.500 0.500 0.500 [1 per cell]

Top 10 peaks for 2θ = 10–90°, most intense first:
d 2.353, rel. 100.0, hkl 1 1 4
d 2.045, rel. 34.2, hkl 2 0 0
d 1.232, rel. 24.1, hkl 3 1 4
d 1.438, rel. 18.0, hkl 2 0 8
d 2.024, rel. 13.9, hkl 0 0 8
d 1.446, rel. 10.9, hkl 2 2 0
d 1.177, rel. 9.2, hkl 2 2 8
d 1.223, rel. 8.3, hkl 1 1 12
d 1.312, rel. 2.7, hkl 1 1 11
d 2.549, rel. 2.0, hkl 1 1 3


2.
Starting from the PBE geometry in Alexandria, the powder diffraction line list of Ho3NbAl8 was computed for CuKα.
Peak positions follow from Bragg's law for the DFT cell and can differ from measured ones.

Crystal structure
a = 5.4312 Å, b = 5.4312 Å, c = 26.6889 Å
α = 90.00°, β = 90.00°, γ = 120.00°
Space group R3m (No. 160, hexagonal axes)
Symmetry-distinct sites (fractional):
Ho 0.0000 0.0000 0.0000 [3 per cell]
Ho 0.0000 0.0000 0.1259 [3 per cell]
Ho 0.0000 0.0000 0.6230 [3 per cell]
Nb 0.0000 0.0000 0.5001 [3 per cell]
Al 0.0000 0.0000 0.3120 [3 per cell]
Al 0.0000 0.0000 0.8126 [3 per cell]
Al 0.0016 0.5008 0.0648 [9 per cell]
Al 0.1672 0.3344 0.8932 [9 per cell]

Top 10 peaks for 2θ = 10–90°, most intense first:
d 2.318, rel. 100.0, hkl 1 0 10
d 2.718, rel. 97.7, hkl 1 1 0
d 4.439, rel. 60.9, hkl 0 1 2
d 1.569, rel. 27.8, hkl 3 0 0
d 1.479, rel. 24.3, hkl 2 1 10
d 1.358, rel. 10.6, hkl 2 2 0
d 1.361, rel. 10.5, hkl 0 2 16
d 1.572, rel. 9.3, hkl 1 0 16
d 1.172, rel. 8.7, hkl 1 3 10
d 1.216, rel. 8.0, hkl 2 1 16


3.
Starting from the PBE geometry in Alexandria, the powder diffraction line list of VFeTe2 was computed for CuKα.
Peak positions follow from Bragg's law for the DFT cell and can differ from measured ones.

Crystal structure
a = 8.360 Å, b = 6.233 Å, c = 7.931 Å
α = 90.00°, β = 115.51°, γ = 90.00°
Space group P2_1/c (No. 14)
Symmetry-distinct sites (fractional):
V 0.018 0.030 0.309 [4 per cell]
Fe 0.102 0.640 0.559 [4 per cell]
Te 0.216 0.236 0.643 [4 per cell]
Te 0.298 0.750 0.400 [4 per cell]

Top 10 peaks for 2θ = 10–90°, most intense first:
d 3.104, rel. 100.0, hkl 0 1 2
d 3.011, rel. 90.3, hkl 2 1 -2
d 7.545, rel. 84.8, hkl 1 0 0
d 2.403, rel. 79.9, hkl 2 2 0
d 3.116, rel. 55.4, hkl 0 2 0
d 2.050, rel. 45.5, hkl 2 1 2
d 3.772, rel. 44.6, hkl 2 0 0
d 1.797, rel. 37.1, hkl 0 3 2
d 2.078, rel. 28.6, hkl 4 0 -2
d 1.779, rel. 27.9, hkl 2 3 -2